1.
For AlCdTcO6, a cell relaxed with GGA-PBE gives the computed X-ray diffraction stick pattern in this record (CuKα).

Cell and atoms:
a b c (Å): 5.0474 5.0474 9.7267
angles (deg): 90.00 90.00 120.00
Space group P-31c (No. 163)
Symmetry-distinct sites (fractional):
Al 0.3333 0.6667 0.2500 x2
Cd 0.0000 0.0000 0.0000 x2
Tc 0.3333 0.6667 0.7500 x2
O 0.0007 0.3731 0.6427 x12

Peak list (10 most intense, 10 to 90 degrees two-theta, by angle)
| h k l | 2θ (°) | I_rel |
| --- | --- | --- |
| 1 0 1 | 22.3 | 21 |
| 1 0 2 | 27.4 | 100 |
| 1 1 0 | 35.6 | 29 |
| 2 0 2 | 45.5 | 22 |
| 1 1 4 | 52.2 | 38 |
| 2 1 2 | 59.1 | 22 |
| 1 0 6 | 61.0 | 9 |
| 3 0 0 | 63.9 | 12 |
| 4 -1 2 | 81.9 | 9 |
| 3 -1 6 | 83.6 | 8 |


2.
For Ag2Te4Au, a cell relaxed with GGA-PBE gives the computed X-ray diffraction stick pattern in this record (CuKα).

Cell and atoms:
a b c (Å): 5.860 5.860 11.950
angles (deg): 90.00 90.00 90.00
Space group I-42m (No. 121)
Symmetry-distinct sites (fractional):
Ag 0.000 0.500 0.250 x4
Te 0.203 0.203 0.098 x8
Au 0.000 0.000 0.500 x2

Peak list (10 most intense, 10 to 90 degrees two-theta, by angle)
| h k l | 2θ (°) | I_rel |
| --- | --- | --- |
| 1 1 2 | 26.2 | 100 |
| 1 0 3 | 27.1 | 14 |
| 2 1 1 | 35.1 | 28 |
| 1 0 5 | 40.8 | 10 |
| 2 1 3 | 41.2 | 15 |
| 2 0 4 | 43.2 | 38 |
| 2 2 0 | 43.7 | 19 |
| 3 0 1 | 47.1 | 14 |
| 3 1 2 | 51.6 | 19 |
| 3 1 6 | 69.3 | 10 |


3.
For Fe7Te6, a cell relaxed with GGA-PBE gives the computed X-ray diffraction stick pattern in this record (CuKα).

Cell and atoms:
a b c (Å): 5.2498 5.2498 35.1225
angles (deg): 90.00 90.00 120.00
Space group R-3m (No. 166, hexagonal axes)
Symmetry-distinct sites (fractional):
Fe 0.0000 0.0000 0.0000 x3
Fe 0.0159 0.5080 0.5950 x18
Te 0.0000 0.0000 0.1342 x6
Te 0.0000 0.0000 0.3193 x6
Te 0.0000 0.0000 0.4269 x6

Peak list (10 most intense, 10 to 90 degrees two-theta, by angle)
| h k l | 2θ (°) | I_rel |
| --- | --- | --- |
| 1 0 4 | 22.0 | 31 |
| 1 0 7 | 26.5 | 95 |
| 1 1 0 | 34.2 | 100 |
| 0 1 11 | 34.3 | 35 |
| 0 2 4 | 41.0 | 51 |
| 1 1 9 | 41.5 | 63 |
| 0 2 7 | 43.7 | 57 |
| 1 0 16 | 45.9 | 38 |
| 2 0 11 | 49.2 | 54 |
| 2 2 0 | 71.9 | 30 |


4.
For KNaReO4, a cell relaxed with GGA-PBE gives the computed X-ray diffraction stick pattern in this record (CuKα).

Cell and atoms:
a b c (Å): 6.160 6.160 8.054
angles (deg): 90.00 90.00 90.00
Space group I-4 (No. 82)
Symmetry-distinct sites (fractional):
K 0.000 0.000 0.000 x2
Na 0.000 0.000 0.500 x2
Re 0.000 0.500 0.250 x2
O 0.150 0.287 0.352 x8

Peak list (10 most intense, 10 to 90 degrees two-theta, by angle)
| h k l | 2θ (°) | I_rel |
| --- | --- | --- |
| 1 0 1 | 18.1 | 100 |
| 1 1 0 | 20.4 | 14 |
| 2 0 0 | 29.0 | 16 |
| 1 1 2 | 30.2 | 45 |
| 2 1 1 | 34.4 | 28 |
| 1 0 3 | 36.5 | 13 |
| 2 2 0 | 41.5 | 10 |
| 1 2 3 | 47.3 | 15 |
| 3 1 2 | 52.2 | 17 |
| 3 2 1 | 54.9 | 11 |


5.
For Sm2HfZrPt2, a cell relaxed with GGA-PBE gives the computed X-ray diffraction stick pattern in this record (CuKα).

Cell and atoms:
a b c (Å): 6.620 13.612 6.617
angles (deg): 90.00 90.00 90.00
Space group Ibam (No. 72)
Symmetry-distinct sites (fractional):
Sm 0.244 0.187 0.000 x8
Hf 0.000 0.000 0.250 x4
Zr 0.000 0.500 0.250 x4
Pt 0.245 0.101 0.500 x8

Peak list (10 most intense, 10 to 90 degrees two-theta, by angle)
| h k l | 2θ (°) | I_rel |
| --- | --- | --- |
| 0 0 2 | 26.9 | 48 |
| 0 2 2 | 30.0 | 58 |
| 1 4 1 | 32.5 | 94 |
| 0 4 2 | 37.9 | 78 |
| 2 0 2 | 38.5 | 100 |
| 1 6 1 | 44.4 | 29 |
| 1 4 3 | 51.2 | 53 |
| 0 0 4 | 55.5 | 35 |
| 1 6 3 | 60.2 | 24 |
| 2 4 4 | 69.2 | 27 |


6.
For CaHAuSeClF, a cell relaxed with GGA-PBE gives the computed X-ray diffraction stick pattern in this record (CuKα).

Cell and atoms:
a b c (Å): 3.957 4.609 9.479
angles (deg): 92.20 101.19 115.40
Space group P1 (No. 1)
Symmetry-distinct sites (fractional):
Ca 0.000 0.000 0.000 x1
H 0.984 0.439 0.578 x1
Au 0.172 0.976 0.405 x1
Se 0.881 0.386 0.415 x1
Cl 0.213 0.554 0.863 x1
F 0.628 0.180 0.083 x1

Peak list (10 most intense, 10 to 90 degrees two-theta, by angle)
| h k l | 2θ (°) | I_rel |
| --- | --- | --- |
| 0 0 2 | 19.3 | 100 |
| 0 1 0 | 21.5 | 18 |
| 1 0 -1 | 25.1 | 28 |
| 1 0 0 | 25.6 | 28 |
| -1 1 1 | 25.8 | 28 |
| 0 0 3 | 29.1 | 28 |
| 1 0 2 | 35.8 | 18 |
| 1 -2 0 | 39.7 | 34 |
| 1 -2 2 | 44.5 | 19 |
| 2 -1 1 | 49.9 | 19 |


7.
For Mn5TcB2W2, a cell relaxed with GGA-PBE gives the computed X-ray diffraction stick pattern in this record (CuKα).

Cell and atoms:
a b c (Å): 8.694 8.694 2.923
angles (deg): 90.00 90.00 90.00
Space group P4/mbm (No. 127)
Symmetry-distinct sites (fractional):
Mn 0.000 0.500 0.000 x2
Mn 0.070 0.217 0.000 x8
Tc 0.000 0.000 0.500 x2
B 0.120 0.380 0.500 x4
W 0.176 0.676 0.500 x4

Peak list (10 most intense, 10 to 90 degrees two-theta, by angle)
| h k l | 2θ (°) | I_rel |
| --- | --- | --- |
| 2 1 0 | 22.9 | 62 |
| 2 1 1 | 38.5 | 100 |
| 2 2 1 | 42.7 | 36 |
| 4 1 0 | 42.9 | 77 |
| 3 3 0 | 44.2 | 21 |
| 3 1 1 | 45.3 | 90 |
| 4 2 0 | 46.7 | 23 |
| 5 3 1 | 71.0 | 21 |
| 6 0 1 | 72.9 | 20 |
| 4 1 2 | 79.8 | 24 |


8.
For KTiCo3, a cell relaxed with GGA-PBE gives the computed X-ray diffraction stick pattern in this record (CuKα).

Cell and atoms:
a b c (Å): 4.541 4.541 4.541
angles (deg): 90.00 90.00 90.00
Space group Pm-3m (No. 221)
Symmetry-distinct sites (fractional):
K 0.000 0.000 0.000 x1
Ti 0.500 0.500 0.500 x1
Co 0.000 0.500 0.500 x3

Peak list (10 most intense, 10 to 90 degrees two-theta, by angle)
| h k l | 2θ (°) | I_rel |
| --- | --- | --- |
| 1 0 0 | 19.6 | 41 |
| 1 1 0 | 27.8 | 5 |
| 1 1 1 | 34.2 | 88 |
| 2 0 0 | 39.7 | 100 |
| 2 1 0 | 44.6 | 18 |
| 2 2 0 | 57.4 | 62 |
| 3 0 0 | 61.2 | 8 |
| 3 1 1 | 68.5 | 30 |
| 2 2 2 | 72.1 | 20 |
| 4 0 0 | 85.6 | 9 |


9.
For LaAg2HAu, a cell relaxed with GGA-PBE gives the computed X-ray diffraction stick pattern in this record (CuKα).

Cell and atoms:
a b c (Å): 4.422 4.422 4.882
angles (deg): 90.00 90.00 90.00
Space group P4/mmm (No. 123)
Symmetry-distinct sites (fractional):
La 0.000 0.000 0.000 x1
Ag 0.000 0.500 0.500 x2
H 0.000 0.000 0.500 x1
Au 0.500 0.500 0.000 x1

Peak list (10 most intense, 10 to 90 degrees two-theta, by angle)
| h k l | 2θ (°) | I_rel |
| --- | --- | --- |
| 0 0 1 | 18.2 | 4 |
| 1 1 1 | 34.0 | 100 |
| 0 0 2 | 36.8 | 20 |
| 2 0 0 | 40.8 | 31 |
| 2 0 2 | 56.1 | 24 |
| 2 2 0 | 59.1 | 10 |
| 1 1 3 | 64.6 | 15 |
| 3 1 1 | 70.0 | 24 |
| 2 2 2 | 71.7 | 11 |
| 4 0 0 | 88.4 | 3 |


10.
For Nd4TlSnN, a cell relaxed with GGA-PBE gives the computed X-ray diffraction stick pattern in this record (CuKα).

Cell and atoms:
a b c (Å): 6.962 16.551 6.964
angles (deg): 90.00 90.00 90.00
Space group Cmcm (No. 63)
Symmetry-distinct sites (fractional):
Nd 0.000 0.087 0.250 x4
Nd 0.000 0.413 0.250 x4
Nd 0.250 0.250 0.000 x8
Tl 0.000 0.110 0.750 x4
Sn 0.000 0.390 0.750 x4
N 0.000 0.248 0.250 x4

Peak list (10 most intense, 10 to 90 degrees two-theta, by angle)
| h k l | 2θ (°) | I_rel |
| --- | --- | --- |
| 2 0 0 | 25.6 | 21 |
| 2 2 0 | 27.8 | 66 |
| 0 6 0 | 32.5 | 29 |
| 2 4 0 | 33.6 | 100 |
| 2 0 2 | 36.5 | 61 |
| 2 6 2 | 49.6 | 39 |
| 4 0 0 | 52.6 | 22 |
| 2 10 0 | 62.1 | 17 |
| 4 6 0 | 63.2 | 19 |
| 4 4 2 | 63.9 | 32 |


11.
For ZnCuCl4, a cell relaxed with GGA-PBE gives the computed X-ray diffraction stick pattern in this record (CuKα).

Cell and atoms:
a b c (Å): 14.264 3.415 6.801
angles (deg): 90.00 116.16 90.00
Space group C2/m (No. 12)
Symmetry-distinct sites (fractional):
Zn 0.000 0.000 0.000 x2
Cu 0.000 0.500 0.500 x2
Cl 0.101 0.000 0.463 x4
Cl 0.112 0.500 0.981 x4

Peak list (10 most intense, 10 to 90 degrees two-theta, by angle)
| h k l | 2θ (°) | I_rel |
| --- | --- | --- |
| 2 0 0 | 13.8 | 100 |
| 2 0 -2 | 26.2 | 11 |
| 0 0 2 | 29.3 | 44 |
| 3 1 -1 | 32.7 | 40 |
| 2 0 2 | 37.8 | 13 |
| 3 1 1 | 40.5 | 14 |
| 5 1 -1 | 41.2 | 30 |
| 3 1 -3 | 48.2 | 17 |
| 5 1 -3 | 50.9 | 13 |
| 5 1 1 | 51.8 | 15 |


12.
For La2Zr, a cell relaxed with GGA-PBE gives the computed X-ray diffraction stick pattern in this record (CuKα).

Cell and atoms:
a b c (Å): 3.4850 3.4850 17.6020
angles (deg): 90.00 90.00 120.00
Space group P-6m2 (No. 187)
Symmetry-distinct sites (fractional):
La 0.0000 0.0000 0.0000 x1
La 0.0000 0.0000 0.3153 x2
La 0.6667 0.3333 0.5000 x1
Zr 0.6667 0.3333 0.1596 x2

Peak list (10 most intense, 10 to 90 degrees two-theta, by angle)
| h k l | 2θ (°) | I_rel |
| --- | --- | --- |
| 1 0 0 | 29.6 | 25 |
| 0 0 6 | 30.5 | 24 |
| 1 0 3 | 33.4 | 100 |
| 1 0 6 | 43.0 | 14 |
| 1 1 0 | 52.5 | 19 |
| 1 0 9 | 56.0 | 15 |
| 1 1 6 | 61.9 | 19 |
| 2 0 3 | 63.7 | 15 |
| 2 0 9 | 80.4 | 5 |
| 2 1 3 | 87.0 | 13 |